Record 1
For TlSbF4, a DFT-relaxed cell (PBE, the Materials Project) gives the theoretical powder diffraction line list in this record (CuKα).
Intensities are scaled so that the largest is 100.

Atomic structure:
Unit cell a=7.6789 b=7.1077 c=8.4832 alpha=90.00 beta=98.20 gamma=90.00
Element x y z (fractional)
Tl 0.1248 0.2490 0.4544
Tl 0.1248 0.2510 0.9544
Tl 0.8752 0.7490 0.0456
Tl 0.8752 0.7510 0.5456
Sb 0.3725 0.7000 0.7850
Sb 0.3725 0.8000 0.2850
Sb 0.6275 0.2000 0.7150
Sb 0.6275 0.3000 0.2150
F 0.1174 0.6111 0.8026
F 0.1174 0.8889 0.3026
F 0.2510 0.5621 0.2071
F 0.2510 0.9379 0.7071
F 0.3172 0.6049 0.5621
F 0.3172 0.8951 0.0621
F 0.4082 0.1601 0.3128
F 0.4082 0.3399 0.8128
F 0.5918 0.6601 0.1872
F 0.5918 0.8399 0.6872
F 0.6828 0.1049 0.9379
F 0.6828 0.3951 0.4379
F 0.7490 0.0621 0.2929
F 0.7490 0.4379 0.7929
F 0.8826 0.1111 0.6974
F 0.8826 0.3889 0.1974

Principal peaks in the range 2θ = 10–80°, sorted by position:
d 3.554, 2θ = 25.06°, rel. 53
d 3.471, 2θ = 25.66°, rel. 55
d 3.432, 2θ = 25.96°, rel. 97
d 3.351, 2θ = 26.60°, rel. 100
d 2.483, 2θ = 36.17°, rel. 49
d 2.320, 2θ = 38.81°, rel. 23
d 2.028, 2θ = 44.70°, rel. 20
d 2.013, 2θ = 45.03°, rel. 23
d 2.011, 2θ = 45.09°, rel. 21
d 1.964, 2θ = 46.21°, rel. 21
d 1.943, 2θ = 46.75°, rel. 21
d 1.676, 2θ = 54.78°, rel. 15

Record 2
For PrZnBi2O6, a DFT-relaxed cell (PBE, the Materials Project) gives the theoretical powder diffraction line list in this record (CuKα).
Intensities are scaled so that the largest is 100.

Atomic structure:
Unit cell a=5.9544 b=5.9544 c=5.9544 alpha=60.00 beta=60.00 gamma=60.00
Element x y z (fractional)
Pr 0.0000 0.0000 0.0000
Zn 0.5000 0.5000 0.5000
Bi 0.2500 0.2500 0.2500
Bi 0.7500 0.7500 0.7500
O 0.2677 0.2677 0.7323
O 0.2677 0.7323 0.2677
O 0.2677 0.7323 0.7323
O 0.7323 0.2677 0.2677
O 0.7323 0.2677 0.7323
O 0.7323 0.7323 0.2677

Principal peaks in the range 2θ = 10–80°, sorted by position:
d 4.862, 2θ = 18.25°, rel. 2
d 4.210, 2θ = 21.10°, rel. 8
d 2.977, 2θ = 30.01°, rel. 100
d 2.431, 2θ = 36.98°, rel. 10
d 2.105, 2θ = 42.96°, rel. 28
d 1.883, 2θ = 48.34°, rel. 5
d 1.719, 2θ = 53.29°, rel. 41
d 1.489, 2θ = 62.38°, rel. 18
d 1.403, 2θ = 66.64°, rel. 3
d 1.331, 2θ = 70.76°, rel. 19
d 1.269, 2θ = 74.78°, rel. 3
d 1.215, 2θ = 78.73°, rel. 6